Theoretical XRD peak list
Compound: PmHo3Tl3
Radiation: Cu Kα (λ = 1.5418 Å)
Structure: a cell relaxed with PBE
Kinematic intensities with the Lorentz-polarization factor, no thermal factor.

Peak list (12 most intense, 5° ≤ 2θ ≤ 70°, in order of rising 2θ)
| 2θ/deg | d/Å | I_rel |
| --- | --- | --- |
| 23.27 | 3.823 | 9 |
| 30.18 | 2.961 | 100 |
| 35.88 | 2.503 | 68 |
| 43.20 | 2.094 | 17 |
| 45.43 | 1.997 | 12 |
| 47.57 | 1.912 | 14 |
| 49.64 | 1.837 | 18 |
| 60.99 | 1.519 | 29 |
| 62.75 | 1.481 | 11 |
| 64.48 | 1.445 | 15 |
| 67.88 | 1.381 | 4 |
| 69.55 | 1.352 | 6 |

Crystal structure
```
PmHo3Tl3
1.0
9.3648 0.0000 0.0000
0.0000 9.3648 0.0000
0.0000 0.0000 9.3648
Pm Ho Tl
4 12 12
Cartesian
0.6551 4.0272 5.3375 Pm
4.0272 5.3375 0.6551 Pm
5.3375 0.6551 4.0272 Pm
8.7096 8.7096 8.7096 Pm
0.7609 5.4433 8.6038 Ho
1.6641 1.6641 1.6641 Ho
1.6817 7.6831 3.0007 Ho
3.0007 1.6817 7.6831 Ho
3.0183 7.7007 6.3464 Ho
3.9215 3.9215 3.9215 Ho
5.4433 8.6038 0.7609 Ho
6.3464 3.0183 7.7007 Ho
6.3641 6.3641 6.3641 Ho
7.6831 3.0007 1.6817 Ho
7.7007 6.3464 3.0183 Ho
8.6038 0.7609 5.4433 Ho
0.0049 2.4236 8.2658 Tl
1.0989 4.6873 2.2588 Tl
2.2588 1.0989 4.6873 Tl
2.4236 8.2658 0.0049 Tl
3.5834 4.6774 6.9412 Tl
4.6774 6.9412 3.5834 Tl
4.6873 2.2588 1.0989 Tl
5.7813 9.3598 7.1060 Tl
6.9412 3.5834 4.6774 Tl
7.1060 5.7813 9.3598 Tl
8.2658 0.0049 2.4236 Tl
9.3598 7.1060 5.7813 Tl
```